1.
The following is a computed powder diffraction line list of Tl2PdO4. It was derived from a GGA-PBE-relaxed structure, using Cu Kα.
Neutral-atom scattering factors, no anomalous dispersion.

Structure:
abc: 6.216 6.216 3.172
angles: 90.00 90.00 125.40
Atoms (fractional coordinates):
Tl1 0.167 0.833 0.000
Tl2 0.833 0.167 0.000
Pd1 0.500 0.500 0.500
O1 0.000 0.500 0.500
O2 0.264 0.264 0.000
O3 0.500 0.000 0.500
O4 0.736 0.736 0.000

Largest 10 diffraction maxima, in order of rising 2θ, 5 to 70 degrees two-theta:
d [Å]  Rel. int.
3.172  17.0
3.093  100.0
2.851  29.8
2.751  16.4
2.689  48.9
2.215  26.6
1.980  32.4
1.728  13.8
1.689  16.7
1.411  19.2

2.
The following is a computed powder diffraction line list of TlPdO. It was derived from a GGA-PBE-relaxed structure, using Cu Kα.
Neutral-atom scattering factors, no anomalous dispersion.

Structure:
abc: 6.776 6.776 6.041
angles: 90.00 90.00 128.15
Atoms (fractional coordinates):
Tl1 0.149 0.851 0.954
Tl2 0.351 0.649 0.454
Tl3 0.649 0.351 0.546
Tl4 0.851 0.149 0.046
Pd1 0.113 0.887 0.499
Pd2 0.387 0.613 0.999
Pd3 0.613 0.387 0.001
Pd4 0.887 0.113 0.501
O1 0.163 0.337 0.750
O2 0.337 0.163 0.250
O3 0.663 0.837 0.750
O4 0.837 0.663 0.250

Largest 10 diffraction maxima, in order of rising 2θ, 5 to 70 degrees two-theta:
d [Å]  Rel. int.
3.047  98.5
3.020  82.8
2.963  100.0
2.930  68.7
2.628  27.1
2.145  51.4
2.124  62.4
2.115  93.7
1.737  61.9
1.610  19.5